# 1
For YNi6B3, a cell relaxed with GGA-PBE gives the calculated powder X-ray diffraction pattern in this record (Cu Kα, 1.54184 Å).
Neutral-atom scattering factors, no anomalous dispersion.

Cell and atoms:
```
YNi6B3
1.0
2.4766 1.4299 5.1182
-2.4766 1.4299 5.1182
0.0000 -2.8597 5.1182
Y Ni B
1 6 3
Direct
0.0000 0.0000 0.0000
0.1199 0.5745 0.6629
0.4197 0.9255 0.4303
0.4303 0.4197 0.9255
0.5745 0.6629 0.1199
0.6629 0.1199 0.5745
0.9255 0.4303 0.4197
0.1633 0.1633 0.1633
0.3576 0.3576 0.3576
0.6915 0.6915 0.6915
```

Principal peaks in the range 2θ = 5–70°, in order of rising 2θ:
31.3°, rel. 41.7
35.1°, rel. 27.6
36.0°, rel. 40.4
40.5°, rel. 35.0
42.6°, rel. 100.0
43.8°, rel. 26.1
48.6°, rel. 22.4
51.3°, rel. 35.0
52.0°, rel. 34.7
65.1°, rel. 13.2

---

# 2
For Y2Ni21B6, a cell relaxed with GGA-PBE gives the calculated powder X-ray diffraction pattern in this record (Cu Kα, 1.54184 Å).
Neutral-atom scattering factors, no anomalous dispersion.

Cell and atoms:
```
Y2Ni21B6
1.0
0.0000 5.3459 5.3459
5.3459 0.0000 5.3459
5.3459 5.3459 0.0000
Y Ni B
2 21 6
Direct
0.2500 0.2500 0.2500
0.7500 0.7500 0.7500
0.0000 0.0000 0.0000
0.0000 0.0000 0.3362
0.0000 0.0000 0.6638
0.0000 0.3362 0.0000
0.0000 0.3362 0.6638
0.0000 0.6638 0.0000
0.0000 0.6638 0.3362
0.1648 0.6117 0.6117
0.3362 0.0000 0.0000
0.3362 0.0000 0.6638
0.3362 0.6638 0.0000
0.3883 0.3883 0.3883
0.3883 0.3883 0.8352
0.3883 0.8352 0.3883
0.6117 0.1648 0.6117
0.6117 0.6117 0.1648
0.6117 0.6117 0.6117
0.6638 0.0000 0.0000
0.6638 0.0000 0.3362
0.6638 0.3362 0.0000
0.8352 0.3883 0.3883
0.2703 0.2703 0.7297
0.2703 0.7297 0.2703
0.2703 0.7297 0.7297
0.7297 0.2703 0.2703
0.7297 0.2703 0.7297
0.7297 0.7297 0.2703
```

Principal peaks in the range 2θ = 5–70°, in order of rising 2θ:
33.5°, rel. 3.2
37.6°, rel. 38.9
41.4°, rel. 35.3
44.0°, rel. 100.0
48.1°, rel. 20.9
50.5°, rel. 24.3
51.3°, rel. 7.5
54.3°, rel. 3.2
57.1°, rel. 9.9
62.0°, rel. 2.5

---

# 3
For Y3NiB7, a cell relaxed with GGA-PBE gives the calculated powder X-ray diffraction pattern in this record (Cu Kα, 1.54184 Å).
Neutral-atom scattering factors, no anomalous dispersion.

Cell and atoms:
```
Y3NiB7
1.0
1.7169 -7.8884 0.0000
1.7169 7.8884 0.0000
0.0000 0.0000 9.3684
Y Ni B
6 2 14
Direct
0.1058 0.8942 0.5619
0.1058 0.8942 0.9381
0.2429 0.7571 0.2500
0.7571 0.2429 0.7500
0.8942 0.1058 0.0619
0.8942 0.1058 0.4381
0.0550 0.9450 0.2500
0.9450 0.0550 0.7500
0.2729 0.7271 0.5323
0.2729 0.7271 0.9677
0.3704 0.6296 0.6514
0.3704 0.6296 0.8486
0.4632 0.5368 0.2500
0.4790 0.5210 0.5928
0.4790 0.5210 0.9072
0.5210 0.4790 0.0928
0.5210 0.4790 0.4072
0.5368 0.4632 0.7500
0.6296 0.3704 0.1514
0.6296 0.3704 0.3486
0.7271 0.2729 0.0323
0.7271 0.2729 0.4677
```

Principal peaks in the range 2θ = 5–70°, in order of rising 2θ:
26.6°, rel. 76.4
29.6°, rel. 79.9
30.8°, rel. 71.5
32.6°, rel. 32.0
34.1°, rel. 38.6
38.8°, rel. 33.5
39.4°, rel. 100.0
40.0°, rel. 55.0
43.5°, rel. 31.9
53.4°, rel. 28.0

---

# 4
For Y3Ni19B10, a cell relaxed with GGA-PBE gives the calculated powder X-ray diffraction pattern in this record (Cu Kα, 1.54184 Å).
Neutral-atom scattering factors, no anomalous dispersion.

Cell and atoms:
```
Y3Ni19B10
1.0
6.5825 -4.3716 0.0000
6.5825 4.3716 0.0000
-0.1340 0.0000 5.7827
Y Ni B
3 19 10
Direct
0.0000 0.0000 0.0000
0.3746 0.3746 0.6130
0.6254 0.6254 0.3870
0.0000 0.0000 0.5000
0.0451 0.5180 0.3016
0.1218 0.6219 0.9256
0.1627 0.1627 0.7015
0.1826 0.1826 0.2707
0.2292 0.7116 0.3011
0.2884 0.7708 0.6989
0.3780 0.3780 0.1247
0.3781 0.8782 0.0744
0.4820 0.9549 0.6984
0.5180 0.0451 0.3016
0.6219 0.1218 0.9256
0.6220 0.6220 0.8753
0.7116 0.2292 0.3011
0.7708 0.2884 0.6989
0.8174 0.8174 0.7293
0.8373 0.8373 0.2985
0.8782 0.3781 0.0744
0.9549 0.4820 0.6984
0.0643 0.6997 0.5691
0.1427 0.3484 0.9739
0.3003 0.9357 0.4309
0.3484 0.1427 0.9739
0.3829 0.6171 0.0000
0.6171 0.3829 0.0000
0.6516 0.8573 0.0261
0.6997 0.0643 0.5691
0.8573 0.6516 0.0261
0.9357 0.3003 0.4309
```

Principal peaks in the range 2θ = 5–70°, in order of rising 2θ:
35.6°, rel. 36.4
37.9°, rel. 27.4
38.3°, rel. 47.2
40.1°, rel. 79.2
41.3°, rel. 100.0
46.3°, rel. 37.6
46.5°, rel. 28.9
47.2°, rel. 45.5
48.7°, rel. 43.3
49.4°, rel. 29.6

---

# 5
For Y2Ni3B6, a cell relaxed with GGA-PBE gives the calculated powder X-ray diffraction pattern in this record (Cu Kα, 1.54184 Å).
Neutral-atom scattering factors, no anomalous dispersion.

Cell and atoms:
```
Y2Ni3B6
1.0
3.8689 -4.3319 0.0000
3.8689 4.3319 0.0000
0.0000 0.0000 3.4843
Y Ni B
2 3 6
Direct
0.2246 0.7754 0.0000
0.7754 0.2246 0.0000
0.2723 0.2723 0.0000
0.5000 0.5000 0.5000
0.7277 0.7277 0.0000
0.1131 0.1131 0.5000
0.1142 0.4144 0.5000
0.4144 0.1142 0.5000
0.5856 0.8858 0.5000
0.8858 0.5856 0.5000
0.8869 0.8869 0.5000
```

Principal peaks in the range 2θ = 5–70°, in order of rising 2θ:
25.6°, rel. 23.1
31.0°, rel. 36.6
33.1°, rel. 14.6
40.6°, rel. 100.0
41.7°, rel. 18.2
45.0°, rel. 11.9
47.0°, rel. 15.8
49.6°, rel. 9.5
52.5°, rel. 14.3
62.3°, rel. 9.5

---

# 6
For YNi6B2, a cell relaxed with GGA-PBE gives the calculated powder X-ray diffraction pattern in this record (Cu Kα, 1.54184 Å).
Neutral-atom scattering factors, no anomalous dispersion.

Cell and atoms:
```
YNi6B2
1.0
0.0000 4.9042 4.9042
4.9042 0.0000 4.9042
4.9042 4.9042 0.0000
Y Ni B
2 12 4
Direct
0.1250 0.1250 0.1250
0.8750 0.8750 0.8750
0.1670 0.1670 0.5830
0.1670 0.5830 0.1670
0.1670 0.5830 0.5830
0.4170 0.4170 0.8330
0.4170 0.8330 0.4170
0.4170 0.8330 0.8330
0.5830 0.1670 0.1670
0.5830 0.1670 0.5830
0.5830 0.5830 0.1670
0.8330 0.4170 0.4170
0.8330 0.4170 0.8330
0.8330 0.8330 0.4170
0.0000 0.5000 0.5000
0.5000 0.0000 0.5000
0.5000 0.5000 0.0000
0.5000 0.5000 0.5000
```

Principal peaks in the range 2θ = 5–70°, in order of rising 2θ:
30.2°, rel. 34.4
36.6°, rel. 100.0
40.1°, rel. 51.8
45.3°, rel. 6.6
48.2°, rel. 31.3
52.8°, rel. 54.8
59.6°, rel. 7.0
62.0°, rel. 6.4
66.0°, rel. 9.8
68.3°, rel. 10.9